# NdDy4Y10
Theoretical powder diffraction line list, Cu Kα. Input: DFT lattice parameters and positions (GGA-PBE).
Intensities are scaled so that the largest is 100.

Structural model:
```
NdDy4Y10
1.0
-4.9382 4.9382 5.3676
4.9382 -4.9382 5.3676
4.9382 4.9382 -5.3676
Nd Dy Y
1 4 10
direct
0.0000 0.0000 0.0000
0.2203 0.4479 0.6682
0.4479 0.7797 0.2276
0.5521 0.2203 0.7724
0.7797 0.5521 0.3318
0.0456 0.3870 0.0935
0.0479 0.9544 0.3414
0.2500 0.7500 0.5000
0.2935 0.9521 0.9065
0.3870 0.2935 0.3414
0.6130 0.7065 0.6586
0.7065 0.0479 0.0935
0.7500 0.2500 0.5000
0.9521 0.0456 0.6586
0.9544 0.6130 0.9065
```

Most intense lines, 2θ from 10° to 90°, low angle first:
| Position (°2θ) | I_rel |
| --- | --- |
| 21.8 | 50 |
| 26.5 | 21 |
| 28.4 | 17 |
| 28.6 | 63 |
| 30.5 | 20 |
| 32.2 | 100 |
| 33.2 | 41 |
| 40.9 | 21 |
| 46.8 | 18 |
| 59.5 | 17 |